For Dy3Zn4Ga4, a structure optimized by DFT (PBE) gives the calculated X-ray diffraction stick pattern in this record (Cu Kα).
Neutral-atom scattering factors, no anomalous dispersion.

Structure:
```
data_Dy3Zn4Ga4
_chemical_formula_sum 'Dy3 Zn4 Ga4'
_cell_length_a 3.750
_cell_length_b 4.340
_cell_length_c 13.469
_cell_angle_alpha 99.24
_cell_angle_beta 97.97
_cell_angle_gamma 90.00
_symmetry_space_group_name_H-M 'P 1'
_symmetry_Int_Tables_number 1
_symmetry_space_group_name_Hall 'P 1'
loop_
_atom_site_label
_atom_site_type_symbol
_atom_site_fract_x
_atom_site_fract_y
_atom_site_fract_z
Dy1 Dy 0.000 0.000 0.000
Dy2 Dy 0.145 0.645 0.290
Dy3 Dy 0.855 0.355 0.710
Zn1 Zn 0.256 0.255 0.511
Zn2 Zn 0.406 0.906 0.812
Zn3 Zn 0.594 0.094 0.188
Zn4 Zn 0.744 0.745 0.489
Ga1 Ga 0.311 0.812 0.623
Ga2 Ga 0.450 0.452 0.903
Ga3 Ga 0.550 0.548 0.097
Ga4 Ga 0.689 0.188 0.377
```

Top 8 peaks for 5 to 70 degrees two-theta, in order of rising 2θ:
| two_theta | d (Å) | intensity | hkl |
| --- | --- | --- | --- |
| 32.28 | 2.774 | 16 | 1 1 -2 |
| 33.76 | 2.655 | 52 | 1 0 3 |
| 34.42 | 2.606 | 100 | 1 1 -3 |
| 41.62 | 2.170 | 31 | 0 2 -1 |
| 43.17 | 2.096 | 39 | 0 1 5 |
| 48.56 | 1.875 | 20 | 2 0 -1 |
| 54.62 | 1.680 | 26 | 1 2 2 |
| 66.97 | 1.397 | 21 | 2 1 -7 |